Computed powder X-ray diffraction pattern
Compound: RbMnCl3O2
Radiation: Cu Kα (weighted mean of Kα1 and Kα2)
Structure: DFT lattice parameters and positions (GGA+U)

Largest 12 diffraction maxima, low angle first, 2θ from 10° to 90°:
(0 0 2), 5.951 Å, I 31; (1 0 2), 5.013 Å, I 46; (0 1 2), 4.477 Å, I 49; (1 1 2), 4.034 Å, I 16; (2 1 0), 3.837 Å, I 39; (2 0 2), 3.660 Å, I 39; (1 2 2), 2.813 Å, I 82; (3 0 2), 2.747 Å, I 100; (0 1 4), 2.726 Å, I 21; (2 0 4), 2.506 Å, I 22; (4 1 2), 2.064 Å, I 17; (2 2 4), 2.017 Å, I 37

Structural model:
```
RbMnCl3O2
1.0
9.299 0.000 0.000
0.000 6.797 0.000
0.000 0.000 11.903
Rb Mn Cl O
4 4 12 8
direct
0.250 0.000 0.106
0.250 0.000 0.606
0.750 0.000 0.394
0.750 0.000 0.894
0.000 0.444 0.250
0.000 0.556 0.750
0.500 0.444 0.750
0.500 0.556 0.250
0.080 0.223 0.382
0.080 0.777 0.882
0.250 0.500 0.154
0.250 0.500 0.654
0.420 0.223 0.882
0.420 0.777 0.382
0.580 0.223 0.618
0.580 0.777 0.118
0.750 0.500 0.346
0.750 0.500 0.846
0.920 0.223 0.118
0.920 0.777 0.618
0.029 0.269 0.800
0.029 0.731 0.300
0.471 0.269 0.300
0.471 0.731 0.800
0.529 0.269 0.200
0.529 0.731 0.700
0.971 0.269 0.700
0.971 0.731 0.200
```